Diffraction record for Fe2O3. The XRD peak list is computed, not measured: it uses DFT lattice parameters and positions (GGA+U) and Cu Kα, 1.54184 Å.
Intensities are scaled so that the largest is 100.

Structure:
Unit cell a=7.503 b=5.171 c=5.316 alpha=90.00 beta=90.00 gamma=90.00
Space group Pbcn (No. 60)
Asymmetric unit:
Fe1 0.111 0.249 0.031 x8
O1 0.000 0.048 0.750 x4
O2 0.153 0.392 0.398 x8

Main lines, most intense first (15° ≤ 2θ ≤ 90°):
d = 2.637 Å, intensity 100, (2 1 1)
d = 1.531 Å, intensity 31, (4 0 2)
d = 1.502 Å, intensity 28, (2 3 1)
d = 2.658 Å, intensity 28, (0 0 2)
d = 1.853 Å, intensity 24, (0 2 2)
d = 2.586 Å, intensity 23, (0 2 0)
d = 1.876 Å, intensity 13, (4 0 0)
d = 1.518 Å, intensity 12, (4 2 0)
d = 1.636 Å, intensity 9, (1 1 3)
d = 1.318 Å, intensity 8, (4 2 2)